For PuTiCu2O8, a crystal structure in Alexandria, relaxed with PBE gives the theoretical powder X-ray diffraction pattern in this record (λ = 1.5418 Å (Cu Kα)).
Neutral-atom scattering factors, no anomalous dispersion.

Structural model:
a = 5.687 Å, b = 5.687 Å, c = 5.687 Å
α = 112.10°, β = 112.10°, γ = 104.33°
Positions (direct):
Pu 0.000 0.000 0.000
Ti 0.750 0.250 0.500
Cu 0.250 0.750 0.500
Cu 0.500 0.500 0.000
O 0.038 0.344 0.305
O 0.038 0.733 0.695
O 0.103 0.304 0.799
O 0.267 0.962 0.305
O 0.504 0.304 0.201
O 0.656 0.962 0.695
O 0.696 0.496 0.799
O 0.696 0.897 0.201

Principal peaks in the range 10° ≤ 2θ ≤ 80°, in order of rising 2θ:
| d_spacing | I/Imax |
| --- | --- |
| 4.697 | 73.2 |
| 4.491 | 36.9 |
| 3.176 | 93.9 |
| 2.755 | 100.0 |
| 2.631 | 24.7 |
| 2.348 | 17.4 |
| 2.246 | 19.4 |
| 1.741 | 68.0 |
| 1.529 | 20.1 |
| 1.376 | 30.3 |